# 1
Calculated X-ray diffraction stick pattern
Compound: BaNd2NiO5
Radiation: Cu Ka
Structure: DFT lattice parameters and positions (PBE+U)
Peak positions follow from Bragg's law for the DFT cell and can differ from measured ones.

Structural model:
```
data_BaNd2NiO5
_space_group_name_H-M_alt 'P 1'
_space_group_IT_number 1
_cell_length_a 6.897
_cell_length_b 6.897
_cell_length_c 6.897
_cell_angle_alpha 147.46
_cell_angle_beta 128.55
_cell_angle_gamma 62.21
loop_
_space_group_symop_operation_xyz
'x,y,z'
loop_
_atom_site_label
_atom_site_type_symbol
_atom_site_fract_x
_atom_site_fract_y
_atom_site_fract_z
_atom_site_occupancy
Ba1 Ba 0.000 0.000 0.000 1
Nd1 Nd 0.297 0.797 0.500 1
Nd2 Nd 0.703 0.203 0.500 1
Ni1 Ni 0.500 0.500 0.000 1
O1 O 0.113 0.355 0.758 1
O2 O 0.404 0.645 0.758 1
O3 O 0.500 0.000 0.500 1
O4 O 0.596 0.355 0.242 1
O5 O 0.887 0.645 0.242 1
```

The 10 most intense peaks (2θ = 15–90°), most intense first:
d_spacing  I/Imax
2.845  100
3.289  32
2.994  31
1.698  22
2.102  17
1.624  15
1.672  15
2.015  15
1.932  15
2.320  14


# 2
Calculated X-ray diffraction stick pattern
Compound: BaNdNiSbO6
Radiation: Cu Ka
Structure: DFT lattice parameters and positions (PBE+U)
Peak positions follow from Bragg's law for the DFT cell and can differ from measured ones.

Structural model:
```
data_BaNdNiSbO6
_space_group_name_H-M_alt 'P 1'
_space_group_IT_number 1
_cell_length_a 5.726
_cell_length_b 5.789
_cell_length_c 9.873
_cell_angle_alpha 90.00
_cell_angle_beta 125.41
_cell_angle_gamma 90.00
loop_
_space_group_symop_operation_xyz
'x,y,z'
loop_
_atom_site_label
_atom_site_type_symbol
_atom_site_fract_x
_atom_site_fract_y
_atom_site_fract_z
_atom_site_occupancy
Ba1 Ba 0.000 0.240 0.000 1
Ba2 Ba 0.000 0.760 0.500 1
Nd1 Nd 0.518 0.296 0.499 1
Nd2 Nd 0.518 0.704 0.999 1
Ni1 Ni 0.254 0.241 0.750 1
Ni2 Ni 0.254 0.759 0.250 1
Sb1 Sb 0.752 0.244 0.251 1
Sb2 Sb 0.752 0.756 0.751 1
O1 O 0.095 0.239 0.493 1
O2 O 0.095 0.761 0.993 1
O3 O 0.459 0.284 0.006 1
O4 O 0.459 0.716 0.506 1
O5 O 0.520 0.042 0.299 1
O6 O 0.520 0.958 0.799 1
O7 O 0.549 0.495 0.289 1
O8 O 0.549 0.505 0.789 1
O9 O 0.903 0.033 0.702 1
O10 O 0.903 0.967 0.202 1
O11 O 0.965 0.492 0.218 1
O12 O 0.965 0.508 0.718 1
```

The 10 most intense peaks (2θ = 15–90°), most intense first:
d_spacing  I/Imax
2.862  100
1.652  26
2.035  21
2.894  19
1.431  15
1.665  13
2.012  11
1.646  9
1.286  6
1.274  4


# 3
Calculated X-ray diffraction stick pattern
Compound: BaSrNdVO6
Radiation: Cu Ka
Structure: DFT lattice parameters and positions (PBE+U)
Peak positions follow from Bragg's law for the DFT cell and can differ from measured ones.

Structural model:
```
data_BaSrNdVO6
_space_group_name_H-M_alt 'P 1'
_space_group_IT_number 1
_cell_length_a 8.395
_cell_length_b 8.404
_cell_length_c 8.423
_cell_angle_alpha 90.00
_cell_angle_beta 90.00
_cell_angle_gamma 90.00
loop_
_space_group_symop_operation_xyz
'x,y,z'
loop_
_atom_site_label
_atom_site_type_symbol
_atom_site_fract_x
_atom_site_fract_y
_atom_site_fract_z
_atom_site_occupancy
Ba1 Ba 0.000 0.000 0.000 1
Ba2 Ba 0.000 0.000 0.500 1
Ba3 Ba 0.000 0.500 0.000 1
Ba4 Ba 0.500 0.500 0.000 1
Sr1 Sr 0.000 0.500 0.500 1
Sr2 Sr 0.500 0.000 0.000 1
Sr3 Sr 0.500 0.000 0.500 1
Sr4 Sr 0.500 0.500 0.500 1
Nd1 Nd 0.253 0.249 0.252 1
Nd2 Nd 0.253 0.751 0.748 1
Nd3 Nd 0.747 0.249 0.748 1
Nd4 Nd 0.747 0.751 0.252 1
V1 V 0.252 0.252 0.746 1
V2 V 0.252 0.748 0.254 1
V3 V 0.748 0.252 0.254 1
V4 V 0.748 0.748 0.746 1
O1 O 0.027 0.226 0.771 1
O2 O 0.027 0.774 0.229 1
O3 O 0.219 0.280 0.523 1
O4 O 0.219 0.720 0.477 1
O5 O 0.230 0.475 0.774 1
O6 O 0.230 0.525 0.226 1
O7 O 0.281 0.025 0.717 1
O8 O 0.281 0.975 0.283 1
O9 O 0.282 0.222 0.974 1
O10 O 0.282 0.778 0.026 1
O11 O 0.476 0.281 0.716 1
O12 O 0.476 0.719 0.284 1
O13 O 0.524 0.281 0.284 1
O14 O 0.524 0.719 0.716 1
O15 O 0.718 0.222 0.026 1
O16 O 0.718 0.778 0.974 1
O17 O 0.719 0.025 0.283 1
O18 O 0.719 0.975 0.717 1
O19 O 0.770 0.475 0.226 1
O20 O 0.770 0.525 0.774 1
O21 O 0.781 0.280 0.477 1
O22 O 0.781 0.720 0.523 1
O23 O 0.973 0.226 0.229 1
O24 O 0.973 0.774 0.771 1
```

The 10 most intense peaks (2θ = 15–90°), most intense first:
d_spacing  I/Imax
2.972  100
1.716  41
2.100  20
1.328  12
1.487  12
1.123  11
1.124  11
2.106  10
2.535  9
4.854  9